The following is a calculated powder XRD pattern of NdMnN2. It was derived from a DFT-relaxed cell (GGA-PBE, Alexandria), using a wavelength of 1.5418 Å.

Peak list (8 most intense, 2θ from 15° to 90°, by intensity)
| two_theta | I_rel |
| --- | --- |
| 34.0 | 100 |
| 32.7 | 96 |
| 23.4 | 49 |
| 47.9 | 43 |
| 59.2 | 34 |
| 40.7 | 26 |
| 53.1 | 19 |
| 61.6 | 18 |

Structural model:
```
NdMnN2
1.0
5.4704 0.0000 0.0000
-2.7352 4.7375 0.0000
0.0000 0.0000 6.3509
Nd Mn N
3 3 6
Direct
0.0000 0.6481 0.1667 Nd
0.3519 0.3519 0.5000 Nd
0.6481 0.0000 0.8333 Nd
0.0000 0.5869 0.6667 Mn
0.4131 0.4131 0.0000 Mn
0.5869 0.0000 0.3333 Mn
0.1294 0.4347 0.8699 N
0.3053 0.8706 0.5366 N
0.4347 0.1294 0.1301 N
0.5653 0.6947 0.2033 N
0.6947 0.5653 0.7967 N
0.8706 0.3053 0.4634 N
```

The following is a calculated powder XRD pattern of Ce3RuCl3. It was derived from a DFT-relaxed cell (GGA-PBE, Alexandria), using a wavelength of 1.5418 Å.

Peak list (8 most intense, 2θ from 15° to 90°, by intensity)
| two_theta | I_rel |
| --- | --- |
| 30.4 | 100 |
| 30.9 | 52 |
| 44.9 | 50 |
| 42.8 | 34 |
| 55.5 | 18 |
| 42.0 | 17 |
| 26.9 | 14 |
| 38.9 | 11 |

Structural model:
```
Ce3RuCl3
1.0
8.6271 0.0000 0.0000
0.0000 4.0337 0.0000
-0.7631 0.0000 11.5702
Ce Ru Cl
6 2 6
Direct
0.1054 0.2500 0.3825 Ce
0.1316 0.2500 0.8577 Ce
0.3413 0.7500 0.6274 Ce
0.6587 0.2500 0.3726 Ce
0.8684 0.7500 0.1423 Ce
0.8946 0.7500 0.6175 Ce
0.1225 0.2500 0.6260 Ru
0.8775 0.7500 0.3740 Ru
0.1133 0.2500 0.1172 Cl
0.3699 0.7500 0.8778 Cl
0.3860 0.7500 0.3729 Cl
0.6140 0.2500 0.6271 Cl
0.6301 0.2500 0.1222 Cl
0.8867 0.7500 0.8828 Cl
```

The following is a calculated powder XRD pattern of PmPu2Ru2. It was derived from a DFT-relaxed cell (GGA-PBE, Alexandria), using a wavelength of 1.5418 Å.

Peak list (8 most intense, 2θ from 15° to 90°, by intensity)
| two_theta | I_rel |
| --- | --- |
| 32.6 | 100 |
| 40.8 | 63 |
| 42.5 | 43 |
| 33.8 | 27 |
| 29.6 | 27 |
| 47.8 | 23 |
| 69.2 | 23 |
| 59.1 | 21 |

Structural model:
```
PmPu2Ru2
1.0
-2.2092 2.2092 11.6039
2.2092 -2.2092 11.6039
2.2092 2.2092 -11.6039
Pm Pu Ru
2 4 4
Direct
0.1338 0.1338 0.0000 Pm
0.8662 0.8662 0.0000 Pm
0.0000 0.5000 0.5000 Pu
0.3154 0.3154 0.0000 Pu
0.5000 0.0000 0.5000 Pu
0.6846 0.6846 0.0000 Pu
0.2500 0.7500 0.5000 Ru
0.4215 0.4215 0.0000 Ru
0.5785 0.5785 0.0000 Ru
0.7500 0.2500 0.5000 Ru
```

The following is a calculated powder XRD pattern of Ac2LaCe. It was derived from a DFT-relaxed cell (GGA-PBE, Alexandria), using a wavelength of 1.5418 Å.

Peak list (8 most intense, 2θ from 15° to 90°, by intensity)
| two_theta | I_rel |
| --- | --- |
| 28.8 | 100 |
| 33.2 | 35 |
| 56.6 | 31 |
| 48.0 | 25 |
| 33.7 | 17 |
| 57.4 | 15 |
| 59.6 | 13 |
| 47.6 | 13 |

Structural model:
```
Ac2LaCe
1.0
5.4031 0.0000 0.0000
0.0000 5.4031 0.0000
0.0000 0.0000 5.3123
Ac La Ce
2 1 1
Direct
0.0000 0.5000 0.0000 Ac
0.5000 0.0000 0.0000 Ac
0.0000 0.0000 0.5000 La
0.5000 0.5000 0.5000 Ce
```